PrMn2O5: calculated PXRD pattern (Cu Kα (weighted mean of Kα1 and Kα2)), based on DFT lattice parameters and positions (PBE+U).
Lines closer than 0.1° are merged.

Principal peaks in the range 2θ from 15° to 90°, in order of rising 2θ:
- d = 4.617 Å, 2θ = 19.23°, rel. 23
- d = 3.338 Å, 2θ = 26.71°, rel. 53
- d = 3.001 Å, 2θ = 29.77°, rel. 100
- d = 2.642 Å, 2θ = 33.94°, rel. 21
- d = 2.484 Å, 2θ = 36.16°, rel. 33
- d = 2.104 Å, 2θ = 42.98°, rel. 33
- d = 2.083 Å, 2θ = 43.45°, rel. 25
- d = 2.043 Å, 2θ = 44.33°, rel. 28
- d = 1.781 Å, 2θ = 51.31°, rel. 20
- d = 1.481 Å, 2θ = 62.75°, rel. 21

Cell and atoms:
Lattice parameters (Å, degrees): 5.074 5.074 9.663 90.00 90.00 130.99
Atoms (fractional coordinates):
Pr1 0.028 0.972 0.750
Pr2 0.972 0.028 0.250
Mn1 0.350 0.650 0.551
Mn2 0.350 0.650 0.949
Mn3 0.650 0.350 0.051
Mn4 0.650 0.350 0.449
O1 0.158 0.842 0.034
O2 0.158 0.842 0.466
O3 0.285 0.715 0.750
O4 0.454 0.546 0.120
O5 0.454 0.546 0.380
O6 0.546 0.454 0.620
O7 0.546 0.454 0.880
O8 0.715 0.285 0.250
O9 0.842 0.158 0.534
O10 0.842 0.158 0.966